Structure and theoretical powder diffractogram of Co3O4 (a structure optimized by DFT (GGA+U); CuKα).
Intensities are scaled so that the largest is 100.

The 6 most intense peaks (2θ from 5° to 70°), in order of falling intensity:
36.95 deg, rel. 100; 65.44 deg, rel. 42; 59.54 deg, rel. 37; 31.36 deg, rel. 30; 44.94 deg, rel. 19; 19.05 deg, rel. 13

Crystal structure
a = 8.068 Å, b = 8.068 Å, c = 8.068 Å
α = 90.00°, β = 90.00°, γ = 90.00°
Space group Fd-3m (No. 227, origin choice 2)
Unique sites:
Co  0.000  0.000  0.000 x16
Co  0.125  0.125  0.625 x8
O  0.013  0.013  0.237 x32